Calculated powder XRD pattern
Compound: KAlFe2F2
Radiation: a wavelength of 1.5418 Å
Structure: a crystal structure in Alexandria, relaxed with GGA+U
Intensities are scaled so that the largest is 100.

Structure:
Cell lengths 6.492, 6.492, 6.644 Å; angles 90.00, 90.00, 90.00 degrees
Sites, in units of the cell vectors:
K1 0.000 0.500 0.000
K2 0.500 0.000 0.000
Al1 0.000 0.000 0.500
Al2 0.500 0.500 0.500
Fe1 0.142 0.358 0.500
Fe2 0.358 0.858 0.500
Fe3 0.642 0.142 0.500
Fe4 0.858 0.642 0.500
F1 0.000 0.000 0.223
F2 0.000 0.000 0.777
F3 0.500 0.500 0.223
F4 0.500 0.500 0.777

Peak list (10 most intense, 5 to 70 degrees two-theta, in order of rising 2θ)
- 13.3 deg, d 6.644, rel. 100, (0 0 1)
- 26.8 deg, d 3.322, rel. 43, (0 0 2)
- 27.5 deg, d 3.246, rel. 26, (2 0 0)
- 30.8 deg, d 2.903, rel. 44, (2 1 0)
- 33.3 deg, d 2.691, rel. 42, (1 1 2)
- 33.7 deg, d 2.660, rel. 68, (2 1 1)
- 41.3 deg, d 2.186, rel. 38, (2 1 2)
- 46.3 deg, d 1.962, rel. 53, (3 1 1)
- 51.9 deg, d 1.761, rel. 18, (2 1 3)
- 61.6 deg, d 1.506, rel. 29, (3 1 3)